The following is a computed X-ray diffraction stick pattern of AcFeN2. It was derived from a structure optimized by DFT (GGA-PBE), using Cu Kα.
Lines closer than 0.1° are merged.

Structural model:
```
data_AcFeN2
_chemical_formula_sum 'Ac3 Fe3 N6'
_cell_length_a 5.677
_cell_length_b 5.677
_cell_length_c 6.545
_cell_angle_alpha 90.00
_cell_angle_beta 90.00
_cell_angle_gamma 120.00
_symmetry_space_group_name_H-M 'P 1'
_symmetry_Int_Tables_number 1
loop_
_symmetry_equiv_pos_as_xyz
'x,y,z'
loop_
_atom_site_label
_atom_site_type_symbol
_atom_site_fract_x
_atom_site_fract_y
_atom_site_fract_z
_atom_site_occupancy
Ac1 Ac 0.000 0.652 0.167 1
Ac2 Ac 0.348 0.348 0.500 1
Ac3 Ac 0.652 0.000 0.833 1
Fe1 Fe 0.000 0.579 0.667 1
Fe2 Fe 0.421 0.421 0.000 1
Fe3 Fe 0.579 0.000 0.333 1
N1 N 0.145 0.443 0.867 1
N2 N 0.298 0.855 0.533 1
N3 N 0.443 0.145 0.133 1
N4 N 0.557 0.702 0.200 1
N5 N 0.702 0.557 0.800 1
N6 N 0.855 0.298 0.467 1
```

The 10 most intense peaks (10° ≤ 2θ ≤ 90°), sorted by position:
two_theta	d (Å)	I/Imax	h k l
22.62	3.931	85	0 1 1
31.52	2.839	100	1 1 0
32.88	2.724	100	1 0 2
39.14	2.301	36	2 0 1
46.19	1.966	43	0 2 2
51.09	1.788	30	1 2 1
52.93	1.730	22	1 1 3
56.12	1.639	16	3 0 0
56.99	1.616	36	2 1 2
59.55	1.552	19	0 1 4